# Tb2CuH4S2O12
Theoretical X-ray diffraction stick pattern, copper Kα. Input: a DFT-relaxed cell (GGA-PBE, Alexandria).
Kinematic intensities with the Lorentz-polarization factor, no thermal factor.

Principal peaks in the range 2θ from 5° to 70°, by angle:
2θ = 14.1°, rel. 100; 2θ = 26.4°, rel. 28; 2θ = 28.3°, rel. 64; 2θ = 30.1°, rel. 55; 2θ = 31.6°, rel. 24; 2θ = 33.3°, rel. 29

Structure:
```
data_Tb2CuH4S2O12
_cell_length_a 6.320
_cell_length_b 6.765
_cell_length_c 10.816
_cell_angle_alpha 90.00
_cell_angle_beta 97.83
_cell_angle_gamma 90.00
_symmetry_space_group_name_H-M 'P 1 21/c 1'
_symmetry_Int_Tables_number 14
_symmetry_space_group_name_Hall '-P 2ybc'
loop_
_atom_site_label
_atom_site_type_symbol
_atom_site_fract_x
_atom_site_fract_y
_atom_site_fract_z
Tb1 Tb 0.076 0.007 0.319
Cu1 Cu 0.000 0.000 0.000
H1 H 0.249 0.714 0.623
H2 H 0.276 0.623 0.387
S1 S 0.363 0.167 0.629
O1 O 0.104 0.681 0.638
O2 O 0.122 0.657 0.372
O3 O 0.198 0.054 0.541
O4 O 0.249 0.194 0.742
O5 O 0.418 0.146 0.075
O6 O 0.450 0.539 0.837
```